This entry pairs a crystal structure of KLiMn2Si4O12 with its computed XRD peak list. Radiation: Cu Kα, 1.54184 Å. Structure: a structure optimized by DFT (PBE+U).
Neutral-atom scattering factors, no anomalous dispersion.

Structural model:
```
KLiMn2Si4O12
1.0
2.673 -4.510 0.000
2.673 4.510 0.000
-1.437 0.000 10.253
K Li Mn Si O
1 1 2 4 12
direct
0.000 0.000 0.000
0.500 0.500 0.500
0.155 0.845 0.500
0.845 0.155 0.500
0.266 0.607 0.771
0.393 0.734 0.229
0.607 0.266 0.771
0.734 0.393 0.229
0.046 0.549 0.163
0.111 0.111 0.399
0.214 0.572 0.614
0.428 0.786 0.386
0.451 0.954 0.837
0.453 0.453 0.829
0.547 0.547 0.171
0.549 0.046 0.163
0.572 0.214 0.614
0.786 0.428 0.386
0.889 0.889 0.601
0.954 0.451 0.837
```

The 10 most intense peaks (15 to 90 degrees two-theta), most intense first:
two_theta	d [Å]	Rel. int.
27.67	3.223	100
24.51	3.632	92
26.07	3.418	51
37.53	2.397	47
33.86	2.647	44
34.83	2.576	43
54.99	1.670	38
19.68	4.510	36
36.20	2.481	34
20.32	4.370	34